Diffraction record for NaInH12Se2O14. The powder diffractogram is theoretical, not measured: it uses a GGA-PBE-relaxed structure and λ = 1.5418 Å (Cu Kα).
No peak broadening, texture or thermal motion is included.

Atomic structure:
Cell: 7.2714 7.3228 12.7296 Å, 93.58 93.60 107.09°
Space group P-1 (No. 2)
Asymmetric unit:
Na: 0.0861 0.4134 0.2530 x2
In: 0.5000 0.0000 0.0000 x1
In: 0.5000 0.0000 0.5000 x1
H: 0.0872 0.3313 0.4889 x2
H: 0.1132 0.7630 0.0025 x2
H: 0.1643 0.4105 0.0098 x2
H: 0.1838 0.2548 0.0819 x2
H: 0.2158 0.0152 0.8320 x2
H: 0.2220 0.7888 0.1222 x2
H: 0.2566 0.3200 0.4243 x2
H: 0.2638 0.6135 0.5044 x2
H: 0.2707 0.1727 0.6199 x2
H: 0.2906 0.7220 0.6231 x2
H: 0.3380 0.2274 0.8762 x2
H: 0.4886 0.2809 0.6671 x2
Se: 0.1014 0.9140 0.3139 x2
Se: 0.4164 0.6011 0.8135 x2
O: 0.0203 0.0524 0.2363 x2
O: 0.0687 0.2080 0.6129 x2
O: 0.0965 0.3311 0.0639 x2
O: 0.1759 0.4041 0.4400 x2
O: 0.1893 0.7584 0.2478 x2
O: 0.2427 0.7891 0.0444 x2
O: 0.2598 0.6879 0.7471 x2
O: 0.2853 0.0669 0.3957 x2
O: 0.2889 0.7427 0.5452 x2
O: 0.2948 0.4288 0.8851 x2
O: 0.3416 0.0899 0.8707 x2
O: 0.4084 0.1644 0.6240 x2
O: 0.4314 0.2154 0.1038 x2
O: 0.4430 0.4772 0.2643 x2

The 8 most intense peaks (10° ≤ 2θ ≤ 90°), by angle:
hkl  2θ/deg  I (rel.)
1 0 0  12.74  63
1 -1 1  16.65  46
0 1 -2  18.14  100
-1 1 2  20.64  58
1 1 -2  23.72  71
1 1 2  26.21  38
-1 2 2  29.23  43
2 -1 2  29.36  43

=====

Diffraction record for NaInH6Se2O8. The powder diffractogram is theoretical, not measured: it uses a GGA-PBE-relaxed structure and λ = 1.5418 Å (Cu Kα).
No peak broadening, texture or thermal motion is included.

Atomic structure:
Cell: 7.1656 7.1682 11.9583 Å, 94.10 92.15 111.86°
Space group P-1 (No. 2)
Asymmetric unit:
Na: 0.0891 0.4123 0.2530 x2
In: 0.5000 0.0000 0.0000 x1
In: 0.5000 0.0000 0.5000 x1
H: 0.1688 0.1947 0.9779 x2
H: 0.2830 0.8477 0.4239 x2
H: 0.3031 0.3299 0.5140 x2
H: 0.3498 0.7836 0.9205 x2
H: 0.3566 0.0365 0.6039 x2
H: 0.4658 0.1437 0.8999 x2
Se: 0.0687 0.9088 0.1687 x2
Se: 0.4080 0.5684 0.6631 x2
O: 0.0171 0.9513 0.7493 x2
O: 0.1328 0.2717 0.9190 x2
O: 0.1717 0.7682 0.2290 x2
O: 0.2202 0.0549 0.0778 x2
O: 0.2257 0.3726 0.5739 x2
O: 0.2697 0.6720 0.7310 x2
O: 0.4440 0.2735 0.4242 x2
O: 0.4522 0.5214 0.2631 x2

The 8 most intense peaks (10° ≤ 2θ ≤ 90°), by angle:
hkl  2θ/deg  I (rel.)
0 1 0  13.36  59
1 0 2  20.73  83
0 1 2  20.96  100
0 1 -3  25.10  58
1 1 -2  25.62  64
0 2 0  26.90  57
1 -2 2  28.50  63
-2 1 2  28.98  48

=====

Diffraction record for InHO2. The powder diffractogram is theoretical, not measured: it uses a GGA-PBE-relaxed structure and λ = 1.5418 Å (Cu Kα).
No peak broadening, texture or thermal motion is included.

Atomic structure:
Cell: 5.4135 5.4135 5.4135 Å, 90.00 90.00 90.00°
Space group P2_13 (No. 198)
Asymmetric unit:
In: 0.0096 0.0096 0.0096 x4
H: 0.0224 0.5224 0.9776 x4
O: 0.1329 0.8671 0.3671 x4
O: 0.1354 0.6354 0.8646 x4

The 8 most intense peaks (10° ≤ 2θ ≤ 90°), by angle:
hkl  2θ/deg  I (rel.)
1 1 1  28.56  100
2 0 0  33.10  60
2 2 0  47.51  45
3 1 1  56.37  60
2 2 2  59.12  15
3 3 1  76.74  16
4 2 0  79.12  19
4 2 2  88.48  14

=====

Diffraction record for InHO2. The powder diffractogram is theoretical, not measured: it uses a GGA-PBE-relaxed structure and λ = 1.5418 Å (Cu Kα).
No peak broadening, texture or thermal motion is included.

Atomic structure:
Cell: 3.3296 4.6383 5.3768 Å, 90.00 90.00 90.00°
Space group Pmn2_1 (No. 31)
Asymmetric unit:
In: 0.0000 0.2313 0.0000 x2
H: 0.0000 0.2958 0.4817 x2
O: 0.0000 0.0241 0.6366 x2
O: 0.0000 0.4790 0.3673 x2

The 8 most intense peaks (10° ≤ 2θ ≤ 90°), by angle:
hkl  2θ/deg  I (rel.)
0 1 1  25.36  100
1 0 1  31.61  40
1 1 0  33.12  61
0 0 2  33.33  26
1 1 2  47.70  40
1 2 1  50.90  40
0 2 2  52.08  15
2 1 1  61.66  16

=====

Diffraction record for InH3O3. The powder diffractogram is theoretical, not measured: it uses a GGA-PBE-relaxed structure and λ = 1.5418 Å (Cu Kα).
No peak broadening, texture or thermal motion is included.

Atomic structure:
Cell: 11.4207 11.4207 7.0208 Å, 90.00 90.00 120.00°
Space group R-3 (No. 148, hexagonal axes)
Asymmetric unit:
In: 0.0000 0.0000 0.0000 x3
In: 0.0000 0.5000 0.0000 x9
H: 0.0327 0.2388 0.9133 x18
H: 0.0901 0.8635 0.6803 x18
O: 0.0039 0.8406 0.1724 x18
O: 0.0502 0.7790 0.6025 x18

The 8 most intense peaks (10° ≤ 2θ ≤ 90°), by angle:
hkl  2θ/deg  I (rel.)
0 2 1  21.98  100
2 0 2  31.29  63
4 0 1  38.60  18
0 4 2  44.84  16
4 -2 3  50.42  25
2 4 1  50.53  25
6 -2 2  55.73  27
6 2 1  69.84  12

=====

Diffraction record for InH3O3. The powder diffractogram is theoretical, not measured: it uses a GGA-PBE-relaxed structure and λ = 1.5418 Å (Cu Kα).
No peak broadening, texture or thermal motion is included.

Atomic structure:
Cell: 7.0037 7.0085 7.0244 Å, 111.21 106.90 109.98°
Space group P1 (No. 1)
Asymmetric unit:
In: 0.0000 0.0000 0.0000 x1
In: 0.0086 0.5318 0.4997 x1
In: 0.5100 0.0242 0.5057 x1
In: 0.5444 0.5362 0.0129 x1
H: 0.0576 0.8944 0.3370 x1
H: 0.1102 0.3157 0.7178 x1
H: 0.1948 0.2161 0.5141 x1
H: 0.2925 0.8355 0.9652 x1
H: 0.2978 0.4672 0.2304 x1
H: 0.3974 0.0752 0.8485 x1
H: 0.4544 0.6920 0.6122 x1
H: 0.6363 0.9800 0.1819 x1
H: 0.7203 0.4909 0.6808 x1
H: 0.7454 0.2058 0.0524 x1
H: 0.8380 0.8067 0.4644 x1
H: 0.9295 0.1603 0.7398 x1
O: 0.1804 0.8459 0.8471 x1
O: 0.1836 0.0334 0.3495 x1
O: 0.2069 0.3740 0.6545 x1
O: 0.2735 0.3463 0.0806 x1
O: 0.3343 0.6866 0.4873 x1
O: 0.5074 0.8534 0.1748 x1
O: 0.5257 0.1942 0.8471 x1
O: 0.6975 0.6800 0.8494 x1
O: 0.7416 0.3608 0.5708 x1
O: 0.8181 0.9948 0.6717 x1
O: 0.8571 0.6949 0.3415 x1
O: 0.8601 0.2053 0.1773 x1

The 8 most intense peaks (10° ≤ 2θ ≤ 90°), by angle:
hkl  2θ/deg  I (rel.)
1 -1 1  21.27  100
1 1 -1  22.11  89
-1 1 1  22.43  80
2 0 0  30.87  49
0 0 2  31.00  33
2 -2 0  31.22  30
2 0 -2  31.76  27
1 -3 1  38.53  32

=====

Diffraction record for InH3O3. The powder diffractogram is theoretical, not measured: it uses a GGA-PBE-relaxed structure and λ = 1.5418 Å (Cu Kα).
No peak broadening, texture or thermal motion is included.

Atomic structure:
Cell: 11.4514 11.4514 6.9860 Å, 90.00 90.00 120.00°
Space group R-3 (No. 148, hexagonal axes)
Asymmetric unit:
In: 0.0000 0.0000 0.0000 x3
In: 0.0000 0.5000 0.0000 x9
H: 0.0216 0.5979 0.6523 x18
H: 0.0747 0.8791 0.7421 x18
O: 0.0058 0.1644 0.1722 x18
O: 0.0526 0.2718 0.6030 x18

The 8 most intense peaks (10° ≤ 2θ ≤ 90°), by angle:
hkl  2θ/deg  I (rel.)
0 2 1  21.98  100
2 2 0  31.28  63
4 0 1  38.53  18
0 4 2  44.83  16
6 -4 1  50.41  25
2 2 3  50.52  25
6 -2 2  55.64  27
6 2 1  69.72  12

=====

Q: Number 6 is which compound?
A: InH3O3